[1]
# Pr10Se19
Theoretical powder diffraction line list, λ = 1.5418 Å (Cu Kα). Input: DFT lattice parameters and positions (GGA-PBE).
Kinematic intensities with the Lorentz-polarization factor, no thermal factor.

The 10 most intense peaks (15 to 90 degrees two-theta), by intensity:
- 36.77°, I = 100, (3 1 4)
- 31.86°, I = 66, (3 1 2)
- 38.03°, I = 62, (1 2 6)
- 43.04°, I = 58, (2 4 0)
- 30.06°, I = 49, (3 1 0)
- 23.56°, I = 47, (1 2 2)
- 58.76°, I = 34, (5 0 6)
- 31.24°, I = 34, (0 0 6)
- 54.13°, I = 24, (2 4 6)
- 62.48°, I = 23, (6 2 0)

Atomic structure:
a = 9.400 Å, b = 9.400 Å, c = 17.178 Å
α = 90.00°, β = 90.00°, γ = 90.00°
Space group P4_2/n (No. 86, origin choice 2)
Inequivalent atoms, fractional coordinates:
Pr1 0.043 0.347 0.120 (multiplicity 8)
Pr2 0.054 0.352 0.606 (multiplicity 8)
Pr3 0.250 0.750 0.117 (multiplicity 4)
Se1 0.030 0.826 0.250 (multiplicity 8)
Se2 0.049 0.348 0.429 (multiplicity 8)
Se3 0.052 0.351 0.937 (multiplicity 8)
Se4 0.066 0.883 0.751 (multiplicity 8)
Se5 0.250 0.250 0.250 (multiplicity 2)
Se6 0.250 0.750 0.436 (multiplicity 4)

***

[2]
# ThTc3
Theoretical powder diffraction line list, λ = 1.5418 Å (Cu Kα). Input: DFT lattice parameters and positions (GGA-PBE).
Kinematic intensities with the Lorentz-polarization factor, no thermal factor.

The 10 most intense peaks (15 to 90 degrees two-theta), by intensity:
- 38.59°, I = 100, (0 2 1)
- 38.26°, I = 26, (2 0 0)
- 38.42°, I = 25, (2 0 -2)
- 23.30°, I = 19, (1 1 0)
- 69.38°, I = 18, (2 2 1)
- 69.59°, I = 18, (4 2 -3)
- 55.26°, I = 9, (0 0 2)
- 55.41°, I = 9, (4 0 -2)
- 69.94°, I = 9, (2 4 0)
- 70.04°, I = 9, (2 4 -2)

Atomic structure:
a = 6.633 Å, b = 6.558 Å, c = 4.687 Å
α = 90.00°, β = 134.82°, γ = 90.00°
Space group C2/m (No. 12)
Inequivalent atoms, fractional coordinates:
Th1 0.000 0.000 0.000 (multiplicity 2)
Tc1 0.000 0.250 0.500 (multiplicity 4)
Tc2 0.000 0.500 0.000 (multiplicity 2)

***

[3]
# KEuPSe4
Theoretical powder diffraction line list, λ = 1.5418 Å (Cu Kα). Input: DFT lattice parameters and positions (GGA-PBE).
Kinematic intensities with the Lorentz-polarization factor, no thermal factor.

The 10 most intense peaks (15 to 90 degrees two-theta), by intensity:
- 28.46°, I = 100, (2 0 -2)
- 28.81°, I = 89, (1 2 0)
- 32.96°, I = 83, (1 2 -2)
- 32.62°, I = 81, (0 2 2)
- 27.28°, I = 75, (1 0 2)
- 30.17°, I = 72, (1 1 2)
- 37.30°, I = 68, (2 2 0)
- 31.25°, I = 48, (2 1 -2)
- 16.14°, I = 45, (0 1 1)
- 42.80°, I = 44, (3 1 0)

Atomic structure:
a = 6.956 Å, b = 7.001 Å, c = 9.257 Å
α = 90.00°, β = 107.03°, γ = 90.00°
Space group P2_1/m (No. 11)
Inequivalent atoms, fractional coordinates:
K1 0.246 0.250 0.437 (multiplicity 2)
Eu1 0.268 0.250 0.951 (multiplicity 2)
P1 0.295 0.750 0.187 (multiplicity 2)
Se1 0.097 0.750 0.337 (multiplicity 2)
Se2 0.120 0.750 0.943 (multiplicity 2)
Se3 0.499 0.503 0.769 (multiplicity 4)

***

[4]
# CuS
Theoretical powder diffraction line list, λ = 1.5418 Å (Cu Kα). Input: DFT lattice parameters and positions (GGA-PBE).
Kinematic intensities with the Lorentz-polarization factor, no thermal factor.

The 10 most intense peaks (15 to 90 degrees two-theta), by intensity:
- 31.74°, I = 100, (1 0 3)
- 47.92°, I = 71, (1 1 0)
- 32.68°, I = 45, (0 0 6)
- 29.25°, I = 44, (1 0 2)
- 59.21°, I = 43, (1 1 6)
- 52.51°, I = 28, (1 0 8)
- 58.63°, I = 16, (2 0 3)
- 27.67°, I = 15, (1 0 1)
- 79.00°, I = 12, (2 1 3)
- 47.58°, I = 12, (1 0 7)

Atomic structure:
a = 3.7966 Å, b = 3.7966 Å, c = 16.4407 Å
α = 90.00°, β = 90.00°, γ = 120.00°
Space group P6_3/mmc (No. 194)
Inequivalent atoms, fractional coordinates:
Cu1 0.3333 0.6667 0.1071 (multiplicity 4)
Cu2 0.3333 0.6667 0.7500 (multiplicity 2)
S1 0.0000 0.0000 0.0641 (multiplicity 4)
S2 0.3333 0.6667 0.2500 (multiplicity 2)

***

[5]
# Dy2ZnTe2S2O14
Theoretical powder diffraction line list, λ = 1.5418 Å (Cu Kα). Input: DFT lattice parameters and positions (GGA-PBE).
Kinematic intensities with the Lorentz-polarization factor, no thermal factor.

The 10 most intense peaks (15 to 90 degrees two-theta), by intensity:
- 25.07°, I = 100, (0 2 0)
- 24.30°, I = 83, (1 0 -1)
- 24.54°, I = 77, (1 1 2)
- 30.09°, I = 70, (-1 2 1)
- 26.45°, I = 50, (1 0 2)
- 37.13°, I = 41, (1 3 2)
- 35.41°, I = 40, (0 2 3)
- 27.30°, I = 39, (1 2 1)
- 34.80°, I = 38, (1 0 -2)
- 30.28°, I = 37, (1 1 -1)

Atomic structure:
a = 5.289 Å, b = 7.921 Å, c = 8.186 Å
α = 63.90°, β = 73.45°, γ = 85.37°
Space group P-1 (No. 2)
Inequivalent atoms, fractional coordinates:
Dy1 0.081 0.253 0.015 (multiplicity 2)
Zn1 0.000 0.000 0.500 (multiplicity 1)
Te1 0.484 0.727 0.663 (multiplicity 2)
S1 0.239 0.754 0.250 (multiplicity 2)
O1 0.110 0.592 0.252 (multiplicity 2)
O2 0.131 0.770 0.430 (multiplicity 2)
O3 0.178 0.924 0.088 (multiplicity 2)
O4 0.248 0.560 0.896 (multiplicity 2)
O5 0.249 0.923 0.668 (multiplicity 2)
O6 0.275 0.195 0.248 (multiplicity 2)
O7 0.472 0.268 0.783 (multiplicity 2)

***

[6]
# K2PtC2Cl2O5
Theoretical powder diffraction line list, λ = 1.5418 Å (Cu Kα). Input: DFT lattice parameters and positions (GGA-PBE).
Kinematic intensities with the Lorentz-polarization factor, no thermal factor.

The 10 most intense peaks (15 to 90 degrees two-theta), by intensity:
- 27.49°, I = 100, (2 0 1)
- 22.84°, I = 79, (1 -1 0)
- 18.67°, I = 52, (1 1 -1)
- 23.07°, I = 51, (1 -1 1)
- 26.90°, I = 50, (0 2 -1)
- 31.06°, I = 48, (0 2 2)
- 33.47°, I = 44, (2 2 3)
- 25.38°, I = 42, (0 2 0)
- 17.61°, I = 40, (0 0 2)
- 19.40°, I = 39, (1 1 2)

Atomic structure:
a = 7.312 Å, b = 7.900 Å, c = 10.573 Å
α = 81.85°, β = 72.29°, γ = 62.68°
Space group P-1 (No. 2)
Inequivalent atoms, fractional coordinates:
K1 0.050 0.243 0.425 (multiplicity 2)
K2 0.252 0.254 0.000 (multiplicity 2)
Pt1 0.265 0.754 0.958 (multiplicity 2)
C1 0.117 0.661 0.226 (multiplicity 2)
C2 0.185 0.820 0.230 (multiplicity 2)
Cl1 0.232 0.611 0.796 (multiplicity 2)
Cl2 0.427 0.914 0.805 (multiplicity 2)
O1 0.057 0.585 0.331 (multiplicity 2)
O2 0.129 0.617 0.109 (multiplicity 2)
O3 0.152 0.890 0.337 (multiplicity 2)
O4 0.275 0.873 0.115 (multiplicity 2)
O5 0.496 0.923 0.503 (multiplicity 2)

***

> Number 4 is which compound?

CuS